Entry 1:
# Cs2AlCl6F
Simulated XRD peak list, Cu Ka. Input: DFT lattice parameters and positions (GGA-PBE).

The 10 most intense peaks (2θ = 10–80°), in order of rising 2θ:
2θ 17.36, rel. 17.3, hkl 1 1 0; 2θ 23.52, rel. 61.8, hkl 1 1 2; 2θ 24.65, rel. 25.6, hkl 2 0 0; 2θ 29.39, rel. 100.0, hkl 2 0 2; 2θ 31.80, rel. 27.3, hkl 0 0 4; 2θ 35.14, rel. 46.6, hkl 2 2 0; 2θ 42.72, rel. 23.7, hkl 3 1 2; 2θ 48.12, rel. 30.4, hkl 2 2 4; 2θ 50.55, rel. 14.8, hkl 4 0 0; 2θ 59.55, rel. 22.0, hkl 4 2 2

Cell and atoms:
```
data_Cs2AlCl6F
_chemical_formula_sum 'Cs4 Al2 Cl12 F2'
_symmetry_space_group_name_H-M 'I 4/m m m'
_symmetry_Int_Tables_number 139
_symmetry_space_group_name_Hall '-I 4 2'
_cell_length_a 7.223
_cell_length_b 7.223
_cell_length_c 11.255
_cell_angle_alpha 90.00
_cell_angle_beta 90.00
_cell_angle_gamma 90.00
loop_
_atom_site_label
_atom_site_type_symbol
_atom_site_fract_x
_atom_site_fract_y
_atom_site_fract_z
_atom_site_occupancy
Cs1 Cs 0.000 0.500 0.250 1
Al1 Al 0.000 0.000 0.000 1
Cl1 Cl 0.000 0.000 0.205 1
Cl2 Cl 0.230 0.230 0.000 1
F1 F 0.000 0.000 0.500 1
```

Entry 2:
# Cs2AlHg2Cl4
Simulated XRD peak list, Cu Ka. Input: DFT lattice parameters and positions (GGA-PBE).

The 10 most intense peaks (2θ = 10–80°), in order of rising 2θ:
2θ 21.71, rel. 95.9, hkl 2 0 0; 2θ 26.46, rel. 26.9, hkl 2 1 1; 2θ 30.15, rel. 100.0, hkl 2 0 2; 2θ 30.90, rel. 84.5, hkl 2 2 0; 2θ 33.11, rel. 46.2, hkl 1 0 3; 2θ 39.95, rel. 41.2, hkl 2 1 3; 2θ 44.26, rel. 28.6, hkl 4 0 0; 2θ 49.82, rel. 27.1, hkl 4 2 0; 2θ 51.34, rel. 32.5, hkl 3 2 3; 2θ 54.49, rel. 32.9, hkl 4 2 2

Cell and atoms:
```
data_Cs2AlHg2Cl4
_chemical_formula_sum 'Cs4 Al2 Hg4 Cl8'
_symmetry_space_group_name_H-M 'I 4/m m m'
_symmetry_Int_Tables_number 139
_symmetry_space_group_name_Hall '-I 4 2'
_cell_length_a 8.186
_cell_length_b 8.186
_cell_length_c 8.600
_cell_angle_alpha 90.00
_cell_angle_beta 90.00
_cell_angle_gamma 90.00
loop_
_atom_site_label
_atom_site_type_symbol
_atom_site_fract_x
_atom_site_fract_y
_atom_site_fract_z
_atom_site_occupancy
Cs1 Cs 0.000 0.500 0.250 1
Al1 Al 0.000 0.000 0.000 1
Hg1 Hg 0.000 0.000 0.325 1
Cl1 Cl 0.211 0.211 0.000 1
```

Entry 3:
# Cs2AlICl6
Simulated XRD peak list, Cu Ka. Input: DFT lattice parameters and positions (GGA-PBE).

The 10 most intense peaks (2θ = 10–80°), in order of rising 2θ:
2θ 21.44, rel. 64.4, hkl 2 0 0; 2θ 22.83, rel. 100.0, hkl 1 1 2; 2θ 25.50, rel. 23.3, hkl 2 1 1; 2θ 27.49, rel. 42.6, hkl 2 0 2; 2θ 30.51, rel. 61.1, hkl 2 2 0; 2θ 34.39, rel. 26.8, hkl 0 0 4; 2θ 38.44, rel. 35.7, hkl 3 1 2; 2θ 40.89, rel. 23.7, hkl 2 0 4; 2θ 46.63, rel. 35.3, hkl 2 2 4; 2θ 61.37, rel. 21.5, hkl 4 2 4

Cell and atoms:
```
data_Cs2AlICl6
_chemical_formula_sum 'Cs4 Al2 I2 Cl12'
_symmetry_space_group_name_H-M 'I 4/m m m'
_symmetry_Int_Tables_number 139
_symmetry_space_group_name_Hall '-I 4 2'
_cell_length_a 8.288
_cell_length_b 8.288
_cell_length_c 10.430
_cell_angle_alpha 90.00
_cell_angle_beta 90.00
_cell_angle_gamma 90.00
loop_
_atom_site_label
_atom_site_type_symbol
_atom_site_fract_x
_atom_site_fract_y
_atom_site_fract_z
_atom_site_occupancy
Cs1 Cs 0.000 0.500 0.250 1
Al1 Al 0.000 0.000 0.000 1
I1 I 0.000 0.000 0.500 1
Cl1 Cl 0.000 0.000 0.254 1
Cl2 Cl 0.193 0.193 0.000 1
```

Entry 4:
# CsLiAl2Cl8
Simulated XRD peak list, Cu Ka. Input: DFT lattice parameters and positions (GGA-PBE).

The 10 most intense peaks (2θ = 10–80°), in order of rising 2θ:
2θ 16.07, rel. 19.5, hkl 1 0 1; 2θ 19.94, rel. 58.0, hkl 1 0 4; 2θ 27.48, rel. 54.4, hkl 0 0 9; 2θ 29.03, rel. 100.0, hkl 1 1 3; 2θ 33.19, rel. 51.4, hkl 2 -1 6; 2θ 44.45, rel. 11.0, hkl 2 1 4; 2θ 46.64, rel. 27.0, hkl 1 1 12; 2θ 48.64, rel. 27.6, hkl 3 0 0; 2θ 56.76, rel. 26.0, hkl 3 0 9; 2θ 57.64, rel. 11.6, hkl 4 -2 3

Cell and atoms:
```
data_CsLiAl2Cl8
_chemical_formula_sum 'Cs3 Li3 Al6 Cl24'
_symmetry_space_group_name_H-M 'R -3'
_symmetry_Int_Tables_number 148
_symmetry_space_group_name_Hall '-R 3'
_cell_length_a 6.4844
_cell_length_b 6.4844
_cell_length_c 29.2313
_cell_angle_alpha 90.00
_cell_angle_beta 90.00
_cell_angle_gamma 120.00
loop_
_atom_site_label
_atom_site_type_symbol
_atom_site_fract_x
_atom_site_fract_y
_atom_site_fract_z
_atom_site_occupancy
Cs1 Cs 0.0000 0.0000 0.0000 1
Li1 Li 0.0000 0.0000 0.5000 1
Al1 Al 0.0000 0.0000 0.2424 1
Cl1 Cl 0.0000 0.0000 0.3166 1
Cl2 Cl 0.0094 0.3539 0.8873 1
```

Entry 5:
# CsAlNiCl6
Simulated XRD peak list, Cu Ka. Input: DFT lattice parameters and positions (GGA-PBE).

The 10 most intense peaks (2θ = 10–80°), in order of rising 2θ:
2θ 19.95, rel. 100.0, hkl 1 0 1; 2θ 28.02, rel. 12.7, hkl 1 0 2; 2θ 30.90, rel. 28.6, hkl 1 1 1; 2θ 35.20, rel. 14.1, hkl 2 0 1; 2θ 36.78, rel. 54.2, hkl 2 -1 2; 2θ 38.05, rel. 12.1, hkl 1 0 3; 2θ 46.03, rel. 21.3, hkl 3 -1 1; 2θ 48.35, rel. 14.1, hkl 2 0 3; 2θ 50.84, rel. 16.2, hkl 3 0 0; 2θ 55.10, rel. 15.1, hkl 1 1 4

Cell and atoms:
```
data_CsAlNiCl6
_chemical_formula_sum 'Cs1 Al1 Ni1 Cl6'
_symmetry_space_group_name_H-M 'P 3 1 2'
_symmetry_Int_Tables_number 149
_symmetry_space_group_name_Hall 'P 3 2'
_cell_length_a 6.2213
_cell_length_b 6.2213
_cell_length_c 7.8963
_cell_angle_alpha 90.00
_cell_angle_beta 90.00
_cell_angle_gamma 120.00
loop_
_atom_site_label
_atom_site_type_symbol
_atom_site_fract_x
_atom_site_fract_y
_atom_site_fract_z
_atom_site_occupancy
Cs1 Cs 0.0000 0.0000 0.0000 1
Al1 Al 0.6667 0.3333 0.5000 1
Ni1 Ni 0.3333 0.6667 0.5000 1
Cl1 Cl 0.3751 0.0083 0.6698 1
```

Entry 6:
# Cs2AlSbCl6
Simulated XRD peak list, Cu Ka. Input: DFT lattice parameters and positions (GGA-PBE).

The 10 most intense peaks (2θ = 10–80°), in order of rising 2θ:
2θ 21.96, rel. 61.4, hkl 2 0 0; 2θ 23.16, rel. 100.0, hkl 1 1 2; 2θ 26.07, rel. 19.9, hkl 2 1 1; 2θ 27.98, rel. 48.4, hkl 2 0 2; 2θ 31.25, rel. 64.5, hkl 2 2 0; 2θ 34.64, rel. 28.2, hkl 0 0 4; 2θ 39.26, rel. 38.1, hkl 3 1 2; 2θ 41.39, rel. 23.3, hkl 2 0 4; 2θ 47.34, rel. 37.9, hkl 2 2 4; 2θ 62.62, rel. 19.6, hkl 4 2 4

Cell and atoms:
```
data_Cs2AlSbCl6
_chemical_formula_sum 'Cs4 Al2 Sb2 Cl12'
_symmetry_space_group_name_H-M 'I 4/m m m'
_symmetry_Int_Tables_number 139
_symmetry_space_group_name_Hall '-I 4 2'
_cell_length_a 8.095
_cell_length_b 8.095
_cell_length_c 10.358
_cell_angle_alpha 90.00
_cell_angle_beta 90.00
_cell_angle_gamma 90.00
loop_
_atom_site_label
_atom_site_type_symbol
_atom_site_fract_x
_atom_site_fract_y
_atom_site_fract_z
_atom_site_occupancy
Cs1 Cs 0.000 0.500 0.250 1
Al1 Al 0.000 0.000 0.000 1
Sb1 Sb 0.000 0.000 0.500 1
Cl1 Cl 0.000 0.000 0.243 1
Cl2 Cl 0.201 0.201 0.000 1
```

Entry 7:
# CsSrAlCl6
Simulated XRD peak list, Cu Ka. Input: DFT lattice parameters and positions (GGA-PBE).

The 10 most intense peaks (2θ = 10–80°), in order of rising 2θ:
2θ 18.75, rel. 100.0, hkl 1 0 1; 2θ 25.27, rel. 13.8, hkl 1 1 0; 2θ 27.97, rel. 37.4, hkl 1 1 1; 2θ 31.66, rel. 22.0, hkl 2 0 1; 2θ 34.95, rel. 53.3, hkl 2 -1 2; 2θ 38.99, rel. 19.1, hkl 1 0 3; 2θ 40.93, rel. 30.8, hkl 3 -1 1; 2θ 44.52, rel. 18.4, hkl 3 0 0; 2θ 54.12, rel. 12.2, hkl 2 1 3; 2θ 55.66, rel. 11.3, hkl 3 1 1

Cell and atoms:
```
data_CsSrAlCl6
_chemical_formula_sum 'Cs1 Sr1 Al1 Cl6'
_symmetry_space_group_name_H-M 'P 3 1 2'
_symmetry_Int_Tables_number 149
_symmetry_space_group_name_Hall 'P 3 2'
_cell_length_a 7.0481
_cell_length_b 7.0481
_cell_length_c 7.4933
_cell_angle_alpha 90.00
_cell_angle_beta 90.00
_cell_angle_gamma 120.00
loop_
_atom_site_label
_atom_site_type_symbol
_atom_site_fract_x
_atom_site_fract_y
_atom_site_fract_z
_atom_site_occupancy
Cs1 Cs 0.0000 0.0000 0.0000 1
Sr1 Sr 0.3333 0.6667 0.5000 1
Al1 Al 0.6667 0.3333 0.5000 1
Cl1 Cl 0.4001 0.0573 0.6850 1
```

Entry 8:
# CsAlVCl6
Simulated XRD peak list, Cu Ka. Input: DFT lattice parameters and positions (GGA-PBE).

The 10 most intense peaks (2θ = 10–80°), in order of rising 2θ:
2θ 19.72, rel. 100.0, hkl 1 0 1; 2θ 27.87, rel. 14.9, hkl 1 0 2; 2θ 30.42, rel. 35.0, hkl 1 1 1; 2θ 34.63, rel. 14.3, hkl 2 0 1; 2θ 36.39, rel. 55.2, hkl 2 -1 2; 2θ 37.97, rel. 11.6, hkl 1 0 3; 2θ 45.23, rel. 20.9, hkl 3 -1 1; 2θ 47.95, rel. 13.9, hkl 2 0 3; 2θ 49.88, rel. 17.0, hkl 3 0 0; 2θ 54.87, rel. 14.8, hkl 1 1 4

Cell and atoms:
```
data_CsAlVCl6
_chemical_formula_sum 'Cs1 Al1 V1 Cl6'
_symmetry_space_group_name_H-M 'P 3 1 2'
_symmetry_Int_Tables_number 149
_symmetry_space_group_name_Hall 'P 3 2'
_cell_length_a 6.3331
_cell_length_b 6.3331
_cell_length_c 7.8833
_cell_angle_alpha 90.00
_cell_angle_beta 90.00
_cell_angle_gamma 120.00
loop_
_atom_site_label
_atom_site_type_symbol
_atom_site_fract_x
_atom_site_fract_y
_atom_site_fract_z
_atom_site_occupancy
Cs1 Cs 0.0000 0.0000 0.0000 1
Al1 Al 0.6667 0.3333 0.5000 1
V1 V 0.3333 0.6667 0.5000 1
Cl1 Cl 0.3769 0.0151 0.6713 1
```

Entry 9:
# KAlCuCl6
Simulated XRD peak list, Cu Ka. Input: DFT lattice parameters and positions (GGA-PBE).

The 10 most intense peaks (2θ = 10–80°), in order of rising 2θ:
2θ 12.79, rel. 100.0, hkl 0 0 1; 2θ 19.64, rel. 43.5, hkl 0 1 -1; 2θ 21.06, rel. 40.4, hkl 0 1 1; 2θ 21.38, rel. 40.5, hkl -1 1 1; 2θ 28.70, rel. 33.8, hkl 1 1 -1; 2θ 32.32, rel. 39.4, hkl 2 -1 1; 2θ 35.77, rel. 36.9, hkl 1 1 -2; 2θ 39.94, rel. 36.8, hkl -1 2 2; 2θ 39.99, rel. 34.4, hkl 2 -1 2; 2θ 48.64, rel. 29.5, hkl 3 0 0

Cell and atoms:
```
data_KAlCuCl6
_chemical_formula_sum 'K1 Al1 Cu1 Cl6'
_symmetry_space_group_name_H-M 'P 1'
_symmetry_Int_Tables_number 1
_symmetry_space_group_name_Hall 'P 1'
_cell_length_a 6.182
_cell_length_b 6.182
_cell_length_c 6.947
_cell_angle_alpha 92.56
_cell_angle_beta 92.68
_cell_angle_gamma 114.38
loop_
_atom_site_label
_atom_site_type_symbol
_atom_site_fract_x
_atom_site_fract_y
_atom_site_fract_z
_atom_site_occupancy
K1 K 0.000 0.000 0.000 1
Al1 Al 0.655 0.345 0.500 1
Cu1 Cu 0.311 0.688 0.501 1
Cl1 Cl 0.354 0.039 0.668 1
Cl2 Cl 0.364 0.409 0.300 1
Cl3 Cl 0.591 0.635 0.702 1
Cl4 Cl 0.634 0.058 0.281 1
Cl5 Cl 0.943 0.365 0.720 1
Cl6 Cl 0.960 0.647 0.334 1
```

Entry 10:
# RbAlCuCl6
Simulated XRD peak list, Cu Ka. Input: DFT lattice parameters and positions (GGA-PBE).

The 10 most intense peaks (2θ = 10–80°), in order of rising 2θ:
2θ 12.14, rel. 70.1, hkl 0 0 1; 2θ 19.21, rel. 94.5, hkl 1 0 -1; 2θ 20.59, rel. 86.1, hkl 1 0 1; 2θ 20.97, rel. 88.9, hkl 1 -1 1; 2θ 28.20, rel. 29.6, hkl 0 1 -2; 2θ 31.06, rel. 42.1, hkl 1 -2 1; 2θ 34.80, rel. 58.1, hkl 1 1 -2; 2θ 38.99, rel. 100.0, hkl 2 -1 2; 2θ 47.67, rel. 29.2, hkl 0 2 -3; 2θ 48.45, rel. 39.6, hkl 3 0 0

Cell and atoms:
```
data_RbAlCuCl6
_chemical_formula_sum 'Rb1 Al1 Cu1 Cl6'
_symmetry_space_group_name_H-M 'P 1'
_symmetry_Int_Tables_number 1
_symmetry_space_group_name_Hall 'P 1'
_cell_length_a 6.198
_cell_length_b 6.200
_cell_length_c 7.316
_cell_angle_alpha 92.66
_cell_angle_beta 92.58
_cell_angle_gamma 114.28
loop_
_atom_site_label
_atom_site_type_symbol
_atom_site_fract_x
_atom_site_fract_y
_atom_site_fract_z
_atom_site_occupancy
Rb1 Rb 0.000 0.000 0.000 1
Al1 Al 0.649 0.352 0.500 1
Cu1 Cu 0.306 0.696 0.499 1
Cl1 Cl 0.349 0.047 0.657 1
Cl2 Cl 0.361 0.418 0.308 1
Cl3 Cl 0.582 0.641 0.691 1
Cl4 Cl 0.630 0.066 0.290 1
Cl5 Cl 0.934 0.372 0.710 1
Cl6 Cl 0.954 0.651 0.343 1
```

Entry 11:
# DyAl3Cl12
Simulated XRD peak list, Cu Ka. Input: DFT lattice parameters and positions (GGA-PBE).

The 10 most intense peaks (2θ = 10–80°), in order of rising 2θ:
2θ 10.77, rel. 100.0, hkl 1 0 1; 2θ 14.31, rel. 67.7, hkl 1 0 2; 2θ 17.04, rel. 15.6, hkl 1 1 1; 2θ 18.66, rel. 17.5, hkl 2 0 0; 2θ 23.02, rel. 20.9, hkl 1 1 3; 2θ 24.88, rel. 19.2, hkl 2 0 3; 2θ 27.11, rel. 13.7, hkl 2 1 2; 2θ 30.25, rel. 20.8, hkl 3 0 2; 2θ 31.91, rel. 18.2, hkl 1 1 5; 2θ 36.67, rel. 21.3, hkl 4 -2 3

Cell and atoms:
```
data_DyAl3Cl12
_chemical_formula_sum 'Dy3 Al9 Cl36'
_symmetry_space_group_name_H-M 'P 31 1 2'
_symmetry_Int_Tables_number 151
_symmetry_space_group_name_Hall 'P 31 2 (0 0 4)'
_cell_length_a 10.9812
_cell_length_b 10.9812
_cell_length_c 16.3121
_cell_angle_alpha 90.00
_cell_angle_beta 90.00
_cell_angle_gamma 120.00
loop_
_atom_site_label
_atom_site_type_symbol
_atom_site_fract_x
_atom_site_fract_y
_atom_site_fract_z
_atom_site_occupancy
Dy1 Dy 0.1797 0.3595 0.1667 1
Al1 Al 0.2227 0.6114 0.0000 1
Al2 Al 0.3033 0.1152 0.2309 1
Cl1 Cl 0.0209 0.1910 0.0416 1
Cl2 Cl 0.0970 0.5443 0.8892 1
Cl3 Cl 0.1017 0.2844 0.5400 1
Cl4 Cl 0.1654 0.5087 0.3125 1
Cl5 Cl 0.3350 0.0971 0.8836 1
Cl6 Cl 0.4928 0.1868 0.2955 1
```

Entry 12:
# EuAl2Cl8
Simulated XRD peak list, Cu Ka. Input: DFT lattice parameters and positions (GGA-PBE).

The 10 most intense peaks (2θ = 10–80°), in order of rising 2θ:
2θ 11.31, rel. 100.0, hkl 1 0 0; 2θ 14.37, rel. 18.5, hkl 0 1 1; 2θ 17.23, rel. 28.6, hkl 1 0 -2; 2θ 18.71, rel. 34.2, hkl 1 1 1; 2θ 24.57, rel. 18.8, hkl 0 1 3; 2θ 26.32, rel. 24.0, hkl 1 1 -3; 2θ 27.80, rel. 23.5, hkl 2 0 2; 2θ 30.67, rel. 19.6, hkl 2 1 2; 2θ 32.41, rel. 17.8, hkl 2 1 -3; 2θ 33.10, rel. 18.3, hkl 0 2 3

Cell and atoms:
```
data_EuAl2Cl8
_chemical_formula_sum 'Eu2 Al4 Cl16'
_symmetry_space_group_name_H-M 'P 1 2/c 1'
_symmetry_Int_Tables_number 13
_symmetry_space_group_name_Hall '-P 2yc'
_cell_length_a 7.851
_cell_length_b 7.053
_cell_length_c 12.716
_cell_angle_alpha 90.00
_cell_angle_beta 94.98
_cell_angle_gamma 90.00
loop_
_atom_site_label
_atom_site_type_symbol
_atom_site_fract_x
_atom_site_fract_y
_atom_site_fract_z
_atom_site_occupancy
Eu1 Eu 0.000 0.151 0.250 1
Al1 Al 0.177 0.265 0.924 1
Cl1 Cl 0.088 0.184 0.611 1
Cl2 Cl 0.230 0.466 0.353 1
Cl3 Cl 0.240 0.294 0.092 1
Cl4 Cl 0.319 0.037 0.859 1
```